TaMnNbFe: calculated powder diffractogram (Cu Kα), based on a structure optimized by DFT (GGA-PBE).
Intensities are scaled so that the largest is 100.

Largest 10 diffraction maxima, in order of rising 2θ, 2θ from 10° to 90°:
- 25.15 deg, I 11
- 29.12 deg, I 22
- 41.65 deg, I 100
- 49.28 deg, I 6
- 51.63 deg, I 6
- 60.37 deg, I 16
- 66.45 deg, I 3
- 68.41 deg, I 9
- 76.02 deg, I 32
- 81.56 deg, I 2

Structure:
```
TaMnNbFe
1.0
0.000 3.066 3.066
3.066 0.000 3.066
3.066 3.066 0.000
Ta Mn Nb Fe
1 1 1 1
direct
0.000 0.000 0.000 Ta
0.250 0.250 0.250 Mn
0.500 0.500 0.500 Nb
0.750 0.750 0.750 Fe
```